The following is a simulated powder diffraction line list of KCr2O. It was derived from a DFT-relaxed cell (PBE+U, Alexandria), using Cu Kα (λ = 1.5418 Å).
Intensities are scaled so that the largest is 100.

Structural model:
a b c (Å): 6.647 6.647 9.383
angles (deg): 90.00 90.00 90.00
Fractional positions:
K 0.000 0.250 0.375
K 0.000 0.750 0.625
K 0.500 0.250 0.125
K 0.500 0.750 0.875
Cr 0.000 0.000 0.000
Cr 0.000 0.500 0.000
Cr 0.250 0.250 0.750
Cr 0.250 0.750 0.250
Cr 0.500 0.000 0.500
Cr 0.500 0.500 0.500
Cr 0.750 0.250 0.750
Cr 0.750 0.750 0.250
O 0.000 0.250 0.875
O 0.000 0.750 0.125
O 0.500 0.250 0.625
O 0.500 0.750 0.375

Most intense lines, 2θ from 10° to 90°, sorted by position:
2theta, I/Imax
16.34, 49
26.84, 53
31.58, 100
33.03, 68
41.92, 12
47.41, 18
50.48, 32
55.32, 46
65.95, 22
78.12, 14